K3CrH3C6O12: computed powder diffraction line list (Cu Ka), based on a DFT-relaxed cell (PBE+U, the Materials Project).
Peak positions follow from Bragg's law for the DFT cell and can differ from measured ones.

Main lines, by intensity (2θ = 10–90°):
two_theta  Rel. int.
12.91  100.0
25.20  42.6
26.94  33.5
17.31  27.7
26.09  25.8
39.98  25.7
16.98  25.3
29.43  24.9
28.34  19.1
19.08  17.7

Cell and atoms:
```
K3CrH3C6O12
1.0
3.7787 -10.2478 0.0000
3.7787 10.2478 0.0000
-2.9407 0.0000 10.4420
K Cr H C O
6 2 6 12 24
Direct
0.0523 0.3745 0.6658 K
0.1705 0.8295 0.7500 K
0.3745 0.0523 0.1658 K
0.6255 0.9477 0.8342 K
0.8295 0.1705 0.2500 K
0.9477 0.6255 0.3342 K
0.3798 0.6202 0.2500 Cr
0.6202 0.3798 0.7500 Cr
0.1361 0.2579 0.4716 H
0.2402 0.7598 0.2500 H
0.2579 0.1361 0.9716 H
0.7421 0.8639 0.0284 H
0.7598 0.2402 0.7500 H
0.8639 0.7421 0.5284 H
0.1348 0.4646 0.0059 C
0.3036 0.6906 0.0258 C
0.3094 0.6964 0.4742 C
0.4209 0.4430 0.7928 C
0.4430 0.4209 0.2928 C
0.4646 0.1348 0.5059 C
0.5354 0.8652 0.4941 C
0.5570 0.5791 0.7072 C
0.5791 0.5570 0.2072 C
0.6906 0.3036 0.5258 C
0.6964 0.3094 0.9742 C
0.8652 0.5354 0.9941 C
0.0015 0.3548 0.9059 O
0.1448 0.4069 0.1012 O
0.2095 0.5743 0.3615 O
0.2376 0.6877 0.5611 O
0.3123 0.7624 0.9389 O
0.3129 0.4401 0.8249 O
0.3399 0.4335 0.3237 O
0.3548 0.0015 0.4059 O
0.4069 0.1448 0.6012 O
0.4257 0.7905 0.1385 O
0.4335 0.3399 0.8237 O
0.4401 0.3129 0.3249 O
0.5599 0.6871 0.6751 O
0.5665 0.6601 0.1763 O
0.5743 0.2095 0.8615 O
0.5931 0.8552 0.3988 O
0.6452 0.9985 0.5941 O
0.6601 0.5665 0.6763 O
0.6871 0.5599 0.1751 O
0.6877 0.2376 0.0611 O
0.7624 0.3123 0.4389 O
0.7905 0.4257 0.6385 O
0.8552 0.5931 0.8988 O
0.9985 0.6452 0.0941 O
```